Structure and computed powder diffractogram of SrH16O10 (a cell relaxed with PBE; λ = 1.5418 Å (Cu Kα)).
Peak positions follow from Bragg's law for the DFT cell and can differ from measured ones.

Crystal structure
Cell lengths 8.955, 9.228, 11.521 Å; angles 90.00, 90.95, 90.00 degrees
Space group Cc (No. 9)
Asymmetric unit:
Sr1 0.000 0.016 0.000 x4
H1 0.047 0.329 0.879 x4
H2 0.066 0.216 0.693 x4
H3 0.163 0.197 0.850 x4
H4 0.163 0.451 0.089 x4
H5 0.171 0.480 0.380 x4
H6 0.202 0.159 0.359 x4
H7 0.208 0.228 0.614 x4
H8 0.245 0.092 0.179 x4
H9 0.268 0.311 0.109 x4
H10 0.275 0.450 0.270 x4
H11 0.335 0.043 0.381 x4
H12 0.358 0.301 0.871 x4
H13 0.360 0.069 0.077 x4
H14 0.430 0.266 0.698 x4
H15 0.442 0.163 0.584 x4
H16 0.466 0.159 0.889 x4
O1 0.058 0.223 0.853 x4
O2 0.103 0.193 0.615 x4
O3 0.225 0.056 0.352 x4
O4 0.260 0.121 0.098 x4
O5 0.270 0.419 0.115 x4
O6 0.278 0.472 0.355 x4
O7 0.404 0.265 0.615 x4
O8 0.457 0.262 0.857 x4
O9 0.498 0.012 0.420 x4
O10 0.498 0.021 0.549 x4

Most intense lines, 2θ = 15–90°, low angle first:
- d 5.760, I 100.0
- d 4.614, I 46.0
- d 3.601, I 75.3
- d 3.507, I 41.1
- d 2.821, I 86.3
- d 2.792, I 45.1


Structure and computed powder diffractogram of SrH16O10 (a cell relaxed with PBE; λ = 1.5418 Å (Cu Kα)).
Peak positions follow from Bragg's law for the DFT cell and can differ from measured ones.

Crystal structure
Cell lengths 6.131, 6.408, 11.551 Å; angles 87.93, 89.66, 90.00 degrees
Space group P1 (No. 1)
Asymmetric unit:
Sr1 0.000 0.000 0.000 x1
Sr2 0.009 0.001 0.503 x1
H1 0.029 0.598 0.362 x1
H2 0.037 0.400 0.067 x1
H3 0.044 0.552 0.633 x1
H4 0.120 0.318 0.795 x1
H5 0.277 0.625 0.388 x1
H6 0.278 0.388 0.108 x1
H7 0.280 0.394 0.896 x1
H8 0.289 0.608 0.602 x1
H9 0.299 0.880 0.211 x1
H10 0.312 0.889 0.791 x1
H11 0.361 0.278 0.377 x1
H12 0.393 0.271 0.603 x1
H13 0.396 0.731 0.112 x1
H14 0.399 0.729 0.893 x1
H15 0.446 0.049 0.378 x1
H16 0.464 0.037 0.630 x1
H17 0.560 0.041 0.123 x1
H18 0.568 0.050 0.870 x1
H19 0.607 0.728 0.391 x1
H20 0.619 0.279 0.108 x1
H21 0.619 0.718 0.596 x1
H22 0.622 0.284 0.896 x1
H23 0.705 0.899 0.296 x1
H24 0.727 0.391 0.385 x1
H25 0.729 0.390 0.594 x1
H26 0.729 0.622 0.891 x1
H27 0.730 0.612 0.109 x1
H28 0.735 0.808 0.709 x1
H29 0.795 0.255 0.707 x1
H30 0.906 0.302 0.294 x1
H31 0.970 0.611 0.168 x1
H32 0.972 0.615 0.844 x1
O1 0.127 0.327 0.126 x1
O2 0.129 0.336 0.879 x1
O3 0.142 0.707 0.363 x1
O4 0.149 0.668 0.634 x1
O5 0.312 0.134 0.365 x1
O6 0.335 0.131 0.631 x1
O7 0.336 0.875 0.128 x1
O8 0.339 0.876 0.875 x1
O9 0.503 0.508 0.068 x1
O10 0.504 0.508 0.938 x1
O11 0.508 0.514 0.422 x1
O12 0.517 0.506 0.551 x1
O13 0.669 0.879 0.379 x1
O14 0.679 0.851 0.632 x1
O15 0.686 0.138 0.128 x1
O16 0.689 0.153 0.865 x1
O17 0.852 0.713 0.858 x1
O18 0.858 0.313 0.634 x1
O19 0.858 0.702 0.133 x1
O20 0.882 0.334 0.376 x1

Most intense lines, 2θ = 15–90°, low angle first:
- d 5.772, I 100.0
- d 4.428, I 62.7
- d 3.564, I 43.4
- d 3.549, I 42.6
- d 3.479, I 40.2
- d 2.016, I 46.4